(1)
For SrPu2O11, a structure optimized by DFT (GGA-PBE) gives the computed PXRD pattern in this record (Cu Kα (weighted mean of Kα1 and Kα2)).
Kinematic intensities with the Lorentz-polarization factor, no thermal factor.

Atomic structure:
a b c (Å): 13.5713 11.2069 8.8691
angles (deg): 90.00 129.80 90.00
Space group Cm (No. 8)
One atom of each set of equivalent atoms:
Sr 0.0000 0.2467 0.0000 [4 per cell]
Pu 0.2211 0.5000 0.9381 [2 per cell]
Pu 0.2353 0.0000 0.5155 [2 per cell]
Pu 0.2521 0.0000 0.9950 [2 per cell]
Pu 0.2622 0.5000 0.4957 [2 per cell]
O 0.1190 0.5000 0.5874 [2 per cell]
O 0.1200 0.3840 0.9241 [4 per cell]
O 0.1264 0.1144 0.3285 [4 per cell]
O 0.1473 0.1148 0.9795 [4 per cell]
O 0.1670 0.3842 0.3062 [4 per cell]
O 0.1695 0.0000 0.6868 [2 per cell]
O 0.3248 0.3838 0.9593 [4 per cell]
O 0.3451 0.1180 0.6881 [4 per cell]
O 0.3600 0.3840 0.6808 [4 per cell]
O 0.3607 0.1179 0.0302 [4 per cell]
O 0.3940 0.0000 0.3892 [2 per cell]
O 0.4098 0.5000 0.3087 [2 per cell]
O 0.4451 0.5000 0.4787 [2 per cell]
O 0.4974 0.0000 0.4011 [2 per cell]

Main lines, by angle (2θ = 15–90°):
d [Å]	Position (°2θ)	I (rel.)	index
5.603	15.82	834	0 2 0
5.213	17.01	524	2 0 0
4.434	20.03	364	2 0 -2
3.817	23.31	1000	2 2 0
3.477	25.62	681	2 2 -2
3.407	26.16	382	0 0 2
3.349	26.62	374	4 0 -2
2.911	30.71	219	0 2 2
2.875	31.11	226	4 2 -2
1.908	47.67	327	4 4 0

=====

(2)
For Sr3Cu2O4F4, a structure optimized by DFT (GGA-PBE) gives the computed PXRD pattern in this record (Cu Kα (weighted mean of Kα1 and Kα2)).
Kinematic intensities with the Lorentz-polarization factor, no thermal factor.

Atomic structure:
a b c (Å): 3.8258 3.8258 23.5023
angles (deg): 90.00 90.00 90.00
Space group I-4m2 (No. 119)
One atom of each set of equivalent atoms:
Sr 0.0000 0.0000 0.0000 [2 per cell]
Sr 0.0000 0.0000 0.1714 [4 per cell]
Cu 0.0000 0.0000 0.4113 [4 per cell]
O 0.0000 0.5000 0.0842 [4 per cell]
O 0.0000 0.5000 0.5910 [4 per cell]
F 0.0000 0.0000 0.3231 [4 per cell]
F 0.0000 0.0000 0.5000 [2 per cell]
F 0.0000 0.5000 0.2500 [2 per cell]

Main lines, by angle (2θ = 15–90°):
d [Å]	Position (°2θ)	I (rel.)	index
2.967	30.12	1000	1 0 5
2.705	33.11	705	1 1 0
2.524	35.58	402	1 0 7
2.226	40.53	392	1 1 6
1.959	46.36	238	0 0 12
1.913	47.53	509	2 0 0
1.608	57.31	325	2 1 5
1.586	58.15	239	1 1 12
1.524	60.76	166	2 1 7
1.368	68.58	264	2 0 12

=====

(3)
For K8Rb7, a structure optimized by DFT (GGA-PBE) gives the computed PXRD pattern in this record (Cu Kα (weighted mean of Kα1 and Kα2)).
Kinematic intensities with the Lorentz-polarization factor, no thermal factor.

Atomic structure:
a b c (Å): 16.7211 16.7211 8.7093
angles (deg): 90.00 90.00 90.00
Space group P4_2/mnm (No. 136)
One atom of each set of equivalent atoms:
K 0.0346 0.3684 0.0000 [8 per cell]
K 0.1849 0.8151 0.2490 [8 per cell]
Rb 0.0000 0.0000 0.5000 [2 per cell]
Rb 0.0621 0.2699 0.5000 [8 per cell]
Rb 0.1034 0.1034 0.0000 [4 per cell]

Main lines, by angle (2θ = 15–90°):
d [Å]	Position (°2θ)	I (rel.)	index
4.355	20.39	325	0 0 2
4.055	21.92	638	4 1 0
3.941	22.56	239	3 3 0
3.862	23.03	197	2 0 2
3.763	23.64	527	2 1 2
3.676	24.21	1000	4 1 1
3.591	24.80	570	3 3 1
2.362	38.11	389	5 5 0
2.221	40.62	191	7 2 1
1.919	47.36	205	4 1 4

=====

(4)
For Pu3Cd4Hg4, a structure optimized by DFT (GGA-PBE) gives the computed PXRD pattern in this record (Cu Kα (weighted mean of Kα1 and Kα2)).
Kinematic intensities with the Lorentz-polarization factor, no thermal factor.

Atomic structure:
a b c (Å): 9.6254 5.0057 11.5939
angles (deg): 90.00 90.00 90.00
Space group Amm2 (No. 38)
One atom of each set of equivalent atoms:
Pu 0.0000 0.0000 0.0000 [2 per cell]
Pu 0.2803 0.0000 0.1510 [4 per cell]
Cd 0.0000 0.0000 0.3053 [2 per cell]
Cd 0.2928 0.0000 0.8486 [4 per cell]
Cd 0.5000 0.0000 0.3746 [2 per cell]
Hg 0.0000 0.0000 0.6823 [2 per cell]
Hg 0.2230 0.0000 0.4810 [4 per cell]
Hg 0.5000 0.0000 0.6529 [2 per cell]

Main lines, by angle (2θ = 15–90°):
d [Å]	Position (°2θ)	I (rel.)	index
3.324	26.82	98	2 1 1
2.775	32.25	89	1 0 4
2.631	34.08	188	3 1 1
2.582	34.75	1000	2 1 3
2.503	35.88	283	0 2 0
2.406	37.37	174	4 0 0
1.932	47.03	84	0 0 6
1.735	52.77	130	4 2 0
1.460	63.76	175	2 3 3
1.421	65.73	83	6 1 3